Starting from the PBE geometry in Alexandria, the XRD peak list of K2Hg2I7 was simulated for Cu Kα.
Kinematic intensities with the Lorentz-polarization factor, no thermal factor.

The 6 most intense peaks (10 to 90 degrees two-theta), sorted by position:
14.7°, rel. 100, hkl 2 0 0
18.8°, rel. 49, hkl 0 2 1
25.1°, rel. 53, hkl 1 3 -1
27.8°, rel. 49, hkl 0 4 0
34.1°, rel. 67, hkl 4 2 -1
44.1°, rel. 41, hkl 4 2 2

Atomic structure:
abc: 12.120 12.846 7.037
angles: 90.00 96.42 90.00
Space group C2/m (No. 12)
Inequivalent atoms, fractional coordinates:
K  0.000  0.239  0.000 [4 per cell]
Hg  0.242  0.500  0.448 [4 per cell]
I  0.000  0.500  0.500 [2 per cell]
I  0.140  0.000  0.185 [4 per cell]
I  0.239  0.191  0.745 [8 per cell]